1.
Th4GaAg: theoretical PXRD pattern (Cu Kα (weighted mean of Kα1 and Kα2)), based on the GGA-PBE geometry in Alexandria.
Lines closer than 0.1° are merged.

Top 8 peaks for 5 to 70 degrees two-theta, low angle first:
| d (Å) | intensity |
| --- | --- |
| 2.933 | 100 |
| 2.533 | 15 |
| 2.413 | 28 |
| 2.293 | 16 |
| 1.761 | 14 |
| 1.668 | 20 |
| 1.524 | 17 |
| 1.376 | 14 |

a = 7.630 Å, b = 7.630 Å, c = 5.738 Å
α = 90.00°, β = 90.00°, γ = 90.00°
Fractional coordinates of all 12 atoms:
Th: 0.153 0.338 0.000
Th: 0.153 0.662 0.500
Th: 0.338 0.153 0.500
Th: 0.338 0.847 0.000
Th: 0.662 0.153 0.000
Th: 0.662 0.847 0.500
Th: 0.847 0.338 0.500
Th: 0.847 0.662 0.000
Ga: 0.000 0.000 0.250
Ga: 0.000 0.000 0.750
Ag: 0.500 0.500 0.250
Ag: 0.500 0.500 0.750


2.
Th3Ga3Ag: theoretical PXRD pattern (Cu Kα (weighted mean of Kα1 and Kα2)), based on the GGA-PBE geometry in Alexandria.
Lines closer than 0.1° are merged.

Top 8 peaks for 5 to 70 degrees two-theta, low angle first:
| d (Å) | intensity |
| --- | --- |
| 2.869 | 100 |
| 2.844 | 37 |
| 2.820 | 59 |
| 2.801 | 27 |
| 2.501 | 23 |
| 2.354 | 39 |
| 2.243 | 40 |
| 1.751 | 22 |

a = 6.040 Å, b = 6.040 Å, c = 14.505 Å
α = 108.41°, β = 108.41°, γ = 43.59°
Fractional coordinates of all 14 atoms:
Th: 0.027 0.027 0.377
Th: 0.109 0.109 0.923
Th: 0.241 0.241 0.223
Th: 0.759 0.759 0.777
Th: 0.891 0.891 0.077
Th: 0.973 0.973 0.623
Ga: 0.376 0.376 0.453
Ga: 0.393 0.393 0.926
Ga: 0.468 0.468 0.771
Ga: 0.532 0.532 0.229
Ga: 0.607 0.607 0.074
Ga: 0.624 0.624 0.547
Ag: 0.259 0.259 0.601
Ag: 0.741 0.741 0.399